Entry 1:
Calculated X-ray diffraction stick pattern
Compound: NaInAs2O7
Radiation: copper Kα
Structure: the PBE geometry in the Materials Project
Neutral-atom scattering factors, no anomalous dispersion.

```
data_NaInAs2O7
_cell_length_a 10.4507
_cell_length_b 8.8955
_cell_length_c 14.2061
_cell_angle_alpha 90.00
_cell_angle_beta 109.86
_cell_angle_gamma 90.00
_symmetry_space_group_name_H-M 'C 1 2/c 1'
_symmetry_Int_Tables_number 15
loop_
_symmetry_equiv_pos_as_xyz
'x,y,z'
'-x,-y,-z'
'-x,y,-z+1/2'
'x,-y,z+1/2'
'x+1/2,y+1/2,z'
'-x+1/2,-y+1/2,-z'
'-x+1/2,y+1/2,-z+1/2'
'x+1/2,-y+1/2,z+1/2'
loop_
_atom_site_label
_atom_site_type_symbol
_atom_site_fract_x
_atom_site_fract_y
_atom_site_fract_z
Na1 Na 0.0968 0.1387 0.1193
In1 In 0.1387 0.2674 0.6404
As1 As 0.1238 0.4572 0.4243
As2 As 0.1687 0.0786 0.8655
O1 O 0.0219 0.0939 0.8930
O2 O 0.0227 0.4637 0.6500
O3 O 0.0912 0.2968 0.4791
O4 O 0.1749 0.0953 0.3166
O5 O 0.1939 0.4004 0.0187
O6 O 0.1981 0.2285 0.8013
O7 O 0.2436 0.4319 0.3693
```

The 8 most intense peaks (10° ≤ 2θ ≤ 90°), by intensity:
- 27.29 deg, rel. 100
- 16.29 deg, rel. 79
- 26.69 deg, rel. 71
- 32.91 deg, rel. 57
- 27.62 deg, rel. 43
- 32.70 deg, rel. 32
- 29.34 deg, rel. 31
- 16.60 deg, rel. 23

Entry 2:
Calculated X-ray diffraction stick pattern
Compound: Na3In2As3O12
Radiation: copper Kα
Structure: the PBE geometry in the Materials Project
Neutral-atom scattering factors, no anomalous dispersion.

```
data_Na3In2As3O12
_cell_length_a 12.8034
_cell_length_b 13.4398
_cell_length_c 6.9739
_cell_angle_alpha 90.00
_cell_angle_beta 113.89
_cell_angle_gamma 90.00
_symmetry_space_group_name_H-M 'C 1 2/c 1'
_symmetry_Int_Tables_number 15
loop_
_symmetry_equiv_pos_as_xyz
'x,y,z'
'-x,-y,-z'
'-x,y,-z+1/2'
'x,-y,z+1/2'
'x+1/2,y+1/2,z'
'-x+1/2,-y+1/2,-z'
'-x+1/2,y+1/2,-z+1/2'
'x+1/2,-y+1/2,z+1/2'
loop_
_atom_site_label
_atom_site_type_symbol
_atom_site_fract_x
_atom_site_fract_y
_atom_site_fract_z
Na1 Na 0.0000 0.0000 0.0000
Na2 Na 0.0000 0.2240 0.2500
Na3 Na 0.0000 0.4954 0.2500
In1 In 0.2224 0.3437 0.1454
As1 As 0.0000 0.2235 0.7500
As2 As 0.2393 0.3966 0.6323
O1 O 0.0468 0.2981 0.9697
O2 O 0.0968 0.1406 0.7242
O3 O 0.1232 0.0794 0.3178
O4 O 0.1581 0.4968 0.1148
O5 O 0.1662 0.3347 0.3984
O6 O 0.2305 0.3216 0.8311
```

The 8 most intense peaks (10° ≤ 2θ ≤ 90°), by intensity:
- 30.68 deg, rel. 100
- 15.14 deg, rel. 95
- 26.67 deg, rel. 58
- 30.55 deg, rel. 52
- 32.76 deg, rel. 48
- 23.71 deg, rel. 45
- 28.86 deg, rel. 38
- 32.06 deg, rel. 38

Entry 3:
Calculated X-ray diffraction stick pattern
Compound: InAsO3
Radiation: copper Kα
Structure: the PBE geometry in the Materials Project
Neutral-atom scattering factors, no anomalous dispersion.

```
data_InAsO3
_cell_length_a 3.9332
_cell_length_b 3.9332
_cell_length_c 3.9332
_cell_angle_alpha 90.00
_cell_angle_beta 90.00
_cell_angle_gamma 90.00
_symmetry_space_group_name_H-M 'P m -3 m'
_symmetry_Int_Tables_number 221
_symmetry_space_group_name_Hall '-P 4 2 3'
loop_
_atom_site_label
_atom_site_type_symbol
_atom_site_fract_x
_atom_site_fract_y
_atom_site_fract_z
In1 In 0.0000 0.0000 0.0000
As1 As 0.5000 0.5000 0.5000
O1 O 0.0000 0.5000 0.5000
```

The 8 most intense peaks (10° ≤ 2θ ≤ 90°), by intensity:
- 32.19 deg, rel. 100
- 57.39 deg, rel. 38
- 46.16 deg, rel. 33
- 67.34 deg, rel. 19
- 76.61 deg, rel. 17
- 39.69 deg, rel. 9
- 85.53 deg, rel. 7
- 81.09 deg, rel. 2

Entry 4:
Calculated X-ray diffraction stick pattern
Compound: RbInAs2O7
Radiation: copper Kα
Structure: the PBE geometry in the Materials Project
Neutral-atom scattering factors, no anomalous dispersion.

```
data_RbInAs2O7
_cell_length_a 7.9986
_cell_length_b 8.8637
_cell_length_c 10.6958
_cell_angle_alpha 88.84
_cell_angle_beta 89.94
_cell_angle_gamma 74.27
_symmetry_space_group_name_H-M 'P -1'
_symmetry_Int_Tables_number 2
loop_
_symmetry_equiv_pos_as_xyz
'x,y,z'
'-x,-y,-z'
loop_
_atom_site_label
_atom_site_type_symbol
_atom_site_fract_x
_atom_site_fract_y
_atom_site_fract_z
Rb1 Rb 0.1606 0.4611 0.1829
Rb2 Rb 0.1904 0.9443 0.3126
In1 In 0.2353 0.2324 0.6021
In2 In 0.2379 0.7389 0.9042
As1 As 0.1290 0.6688 0.5998
As2 As 0.1553 0.1500 0.9265
As3 As 0.4316 0.3266 0.8593
As4 As 0.4488 0.7991 0.6324
O1 O 0.0071 0.2834 0.0112
O2 O 0.0089 0.7788 0.4812
O3 O 0.0782 0.7754 0.7333
O4 O 0.1024 0.1807 0.7718
O5 O 0.1085 0.4848 0.6159
O6 O 0.1899 0.9652 0.9858
O7 O 0.2682 0.4932 0.8729
O8 O 0.3323 0.9763 0.5756
O9 O 0.3401 0.2573 0.4169
O10 O 0.3510 0.6593 0.5617
O11 O 0.3620 0.1877 0.9567
O12 O 0.3716 0.6658 0.0858
O13 O 0.4565 0.7653 0.7908
O14 O 0.4565 0.2524 0.7115
```

The 8 most intense peaks (10° ≤ 2θ ≤ 90°), by intensity:
- 27.64 deg, rel. 100
- 28.10 deg, rel. 66
- 28.24 deg, rel. 61
- 27.93 deg, rel. 59
- 20.83 deg, rel. 53
- 14.18 deg, rel. 51
- 27.53 deg, rel. 36
- 26.50 deg, rel. 29

Entry 5:
Calculated X-ray diffraction stick pattern
Compound: InAsPd5
Radiation: copper Kα
Structure: the PBE geometry in the Materials Project
Neutral-atom scattering factors, no anomalous dispersion.

```
data_InAsPd5
_cell_length_a 4.0578
_cell_length_b 4.0578
_cell_length_c 7.1008
_cell_angle_alpha 90.00
_cell_angle_beta 90.00
_cell_angle_gamma 90.00
_symmetry_space_group_name_H-M 'P 4/m m m'
_symmetry_Int_Tables_number 123
_symmetry_space_group_name_Hall '-P 4 2'
loop_
_atom_site_label
_atom_site_type_symbol
_atom_site_fract_x
_atom_site_fract_y
_atom_site_fract_z
In1 In 0.0000 0.0000 0.0000
As1 As 0.5000 0.5000 0.5000
Pd1 Pd 0.0000 0.5000 0.2887
Pd2 Pd 0.5000 0.5000 0.0000
```

The 8 most intense peaks (10° ≤ 2θ ≤ 90°), by intensity:
- 40.42 deg, rel. 100
- 44.66 deg, rel. 43
- 79.41 deg, rel. 27
- 33.69 deg, rel. 23
- 65.01 deg, rel. 14
- 60.06 deg, rel. 12
- 38.02 deg, rel. 12
- 70.48 deg, rel. 12

Entry 6:
Calculated X-ray diffraction stick pattern
Compound: InAsPt5
Radiation: copper Kα
Structure: the PBE geometry in the Materials Project
Neutral-atom scattering factors, no anomalous dispersion.

```
data_InAsPt5
_cell_length_a 4.0650
_cell_length_b 4.0650
_cell_length_c 7.1648
_cell_angle_alpha 90.00
_cell_angle_beta 90.00
_cell_angle_gamma 90.00
_symmetry_space_group_name_H-M 'P 4/m m m'
_symmetry_Int_Tables_number 123
_symmetry_space_group_name_Hall '-P 4 2'
loop_
_atom_site_label
_atom_site_type_symbol
_atom_site_fract_x
_atom_site_fract_y
_atom_site_fract_z
In1 In 0.0000 0.0000 0.0000
As1 As 0.5000 0.5000 0.5000
Pt1 Pt 0.0000 0.5000 0.2851
Pt2 Pt 0.5000 0.5000 0.0000
```

The 8 most intense peaks (10° ≤ 2θ ≤ 90°), by intensity:
- 40.22 deg, rel. 100
- 44.58 deg, rel. 43
- 79.16 deg, rel. 28
- 33.59 deg, rel. 22
- 64.88 deg, rel. 14
- 59.74 deg, rel. 13
- 70.01 deg, rel. 13
- 37.66 deg, rel. 13

Entry 7:
Calculated X-ray diffraction stick pattern
Compound: In2AsPt8
Radiation: copper Kα
Structure: the PBE geometry in the Materials Project
Neutral-atom scattering factors, no anomalous dispersion.

```
data_In2AsPt8
_cell_length_a 4.0447
_cell_length_b 4.0447
_cell_length_c 11.2935
_cell_angle_alpha 90.00
_cell_angle_beta 90.00
_cell_angle_gamma 90.00
_symmetry_space_group_name_H-M 'P 4/m m m'
_symmetry_Int_Tables_number 123
_symmetry_space_group_name_Hall '-P 4 2'
loop_
_atom_site_label
_atom_site_type_symbol
_atom_site_fract_x
_atom_site_fract_y
_atom_site_fract_z
In1 In 0.0000 0.0000 0.1791
As1 As 0.5000 0.5000 0.5000
Pt1 Pt 0.0000 0.5000 0.0000
Pt2 Pt 0.0000 0.5000 0.3624
Pt3 Pt 0.5000 0.5000 0.1804
```

The 8 most intense peaks (10° ≤ 2θ ≤ 90°), by intensity:
- 39.57 deg, rel. 100
- 44.82 deg, rel. 41
- 79.07 deg, rel. 27
- 35.17 deg, rel. 16
- 65.24 deg, rel. 13
- 68.05 deg, rel. 13
- 75.03 deg, rel. 12
- 61.55 deg, rel. 11

Entry 8:
Calculated X-ray diffraction stick pattern
Compound: In2SbAs
Radiation: copper Kα
Structure: the PBE geometry in the Materials Project
Neutral-atom scattering factors, no anomalous dispersion.

```
data_In2SbAs
_cell_length_a 4.5397
_cell_length_b 4.5397
_cell_length_c 22.2041
_cell_angle_alpha 90.00
_cell_angle_beta 90.00
_cell_angle_gamma 120.00
_symmetry_space_group_name_H-M 'R 3 m'
_symmetry_Int_Tables_number 160
_symmetry_space_group_name_Hall 'R 3 -2"'
loop_
_atom_site_label
_atom_site_type_symbol
_atom_site_fract_x
_atom_site_fract_y
_atom_site_fract_z
In1 In 0.0000 0.0000 0.0000
In2 In 0.0000 0.0000 0.4902
Sb1 Sb 0.0000 0.0000 0.8704
As1 As 0.0000 0.0000 0.3699
```

The 8 most intense peaks (10° ≤ 2θ ≤ 90°), by intensity:
- 24.02 deg, rel. 100
- 39.73 deg, rel. 78
- 46.97 deg, rel. 48
- 72.09 deg, rel. 19
- 63.16 deg, rel. 19
- 77.25 deg, rel. 13
- 57.45 deg, rel. 13
- 72.19 deg, rel. 6

Entry 9:
Calculated X-ray diffraction stick pattern
Compound: In2AsSe
Radiation: copper Kα
Structure: the PBE geometry in the Materials Project
Neutral-atom scattering factors, no anomalous dispersion.

```
data_In2AsSe
_cell_length_a 6.4007
_cell_length_b 6.4007
_cell_length_c 12.8776
_cell_angle_alpha 90.00
_cell_angle_beta 90.00
_cell_angle_gamma 90.00
_symmetry_space_group_name_H-M 'I -4 2 d'
_symmetry_Int_Tables_number 122
_symmetry_space_group_name_Hall 'I -4 2bw'
loop_
_atom_site_label
_atom_site_type_symbol
_atom_site_fract_x
_atom_site_fract_y
_atom_site_fract_z
In1 In 0.2392 0.2500 0.1250
As1 As 0.0000 0.0000 0.0000
Se1 Se 0.0000 0.0000 0.5000
```

The 8 most intense peaks (10° ≤ 2θ ≤ 90°), by intensity:
- 24.03 deg, rel. 100
- 39.71 deg, rel. 51
- 47.06 deg, rel. 32
- 39.83 deg, rel. 25
- 72.24 deg, rel. 16
- 46.85 deg, rel. 16
- 63.14 deg, rel. 13
- 71.99 deg, rel. 8